This entry pairs a crystal structure of InFe2Os with its simulated X-ray powder pattern. Radiation: Cu Kα X-rays. Structure: a GGA-PBE-relaxed structure.
Peak positions follow from Bragg's law for the DFT cell and can differ from measured ones.

The 10 most intense peaks (10° ≤ 2θ ≤ 80°), low angle first:
hkl 0 0 1, 2θ 15.69, d 5.648, I 276; hkl 0 1 0, 2θ 23.88, d 3.726, I 370; hkl 0 0 2, 2θ 31.68, d 2.824, I 213; hkl 1 0 0, 2θ 32.10, d 2.789, I 179; hkl 0 1 2, 2θ 40.06, d 2.251, I 960; hkl 1 1 0, 2θ 40.40, d 2.233, I 1000; hkl 1 0 2, 2θ 45.73, d 1.984, I 653; hkl 0 2 0, 2θ 48.88, d 1.863, I 285; hkl 1 1 2, 2θ 52.23, d 1.751, I 220; hkl 1 2 2, 2θ 69.16, d 1.358, I 368

Cell and atoms:
```
data_InFe2Os
_cell_length_a 2.789
_cell_length_b 3.726
_cell_length_c 5.648
_cell_angle_alpha 90.00
_cell_angle_beta 90.00
_cell_angle_gamma 90.00
_symmetry_space_group_name_H-M 'P m m m'
_symmetry_Int_Tables_number 47
loop_
_symmetry_equiv_pos_as_xyz
'x,y,z'
'-x,-y,-z'
'-x,-y,z'
'x,y,-z'
'x,-y,-z'
'-x,y,z'
'-x,y,-z'
'x,-y,z'
loop_
_atom_site_label
_atom_site_fract_x
_atom_site_fract_y
_atom_site_fract_z
In1 0.000 0.000 0.000
Fe1 0.500 0.500 0.288
Os1 0.000 0.000 0.500
```

=====

This entry pairs a crystal structure of InFe2Os with its simulated X-ray powder pattern. Radiation: Cu Kα X-rays. Structure: a GGA-PBE-relaxed structure.
Peak positions follow from Bragg's law for the DFT cell and can differ from measured ones.

The 10 most intense peaks (10° ≤ 2θ ≤ 80°), low angle first:
hkl 0 0 1, 2θ 13.48, d 6.569, I 281; hkl 1 0 1, 2θ 33.07, d 2.708, I 401; hkl 1 0 2, 2θ 40.95, d 2.204, I 1000; hkl 0 0 3, 2θ 41.23, d 2.190, I 116; hkl 1 1 0, 2θ 43.03, d 2.102, I 512; hkl 1 1 3, 2θ 61.11, d 1.516, I 146; hkl 2 0 0, 2θ 62.48, d 1.486, I 164; hkl 2 1 1, 2θ 72.54, d 1.303, I 88; hkl 1 1 4, 2θ 73.13, d 1.294, I 101; hkl 2 1 2, 2θ 77.44, d 1.232, I 294

Cell and atoms:
```
data_InFe2Os
_cell_length_a 2.973
_cell_length_b 2.973
_cell_length_c 6.569
_cell_angle_alpha 90.00
_cell_angle_beta 90.00
_cell_angle_gamma 90.00
_symmetry_space_group_name_H-M 'P 4 m m'
_symmetry_Int_Tables_number 99
loop_
_symmetry_equiv_pos_as_xyz
'x,y,z'
'-y,x,z'
'-x,-y,z'
'y,-x,z'
'-x,y,z'
'y,x,z'
'x,-y,z'
'-y,-x,z'
loop_
_atom_site_label
_atom_site_fract_x
_atom_site_fract_y
_atom_site_fract_z
In1 0.000 0.000 0.000
Fe1 0.000 0.000 0.523
Fe2 0.500 0.500 0.721
Os1 0.500 0.500 0.307
```

=====

This entry pairs a crystal structure of InFe2Os with its simulated X-ray powder pattern. Radiation: Cu Kα X-rays. Structure: a GGA-PBE-relaxed structure.
Peak positions follow from Bragg's law for the DFT cell and can differ from measured ones.

The 10 most intense peaks (10° ≤ 2θ ≤ 80°), low angle first:
hkl 0 0 1, 2θ 19.27, d 4.607, I 162; hkl 2 0 0, 2θ 20.39, d 4.356, I 455; hkl 1 1 -1, 2θ 36.86, d 2.439, I 218; hkl 1 1 1, 2θ 39.18, d 2.300, I 1000; hkl 2 0 -2, 2θ 40.24, d 2.241, I 402; hkl 4 0 0, 2θ 41.46, d 2.178, I 386; hkl 3 1 -1, 2θ 45.58, d 1.990, I 590; hkl 2 0 2, 2θ 48.45, d 1.879, I 218; hkl 1 1 -3, 2θ 67.85, d 1.381, I 148; hkl 5 1 1, 2θ 69.56, d 1.352, I 150

Cell and atoms:
```
data_InFe2Os
_cell_length_a 8.914
_cell_length_b 2.907
_cell_length_c 4.713
_cell_angle_alpha 90.00
_cell_angle_beta 102.19
_cell_angle_gamma 90.00
_symmetry_space_group_name_H-M 'C 1 2/m 1'
_symmetry_Int_Tables_number 12
loop_
_symmetry_equiv_pos_as_xyz
'x,y,z'
'-x,-y,-z'
'-x,y,-z'
'x,-y,z'
'x+1/2,y+1/2,z'
'-x+1/2,-y+1/2,-z'
'-x+1/2,y+1/2,-z'
'x+1/2,-y+1/2,z'
loop_
_atom_site_label
_atom_site_fract_x
_atom_site_fract_y
_atom_site_fract_z
In1 0.000 0.000 0.000
Fe1 0.242 0.000 0.705
Os1 0.000 0.500 0.500
```

=====

This entry pairs a crystal structure of InFeP2 with its simulated X-ray powder pattern. Radiation: Cu Kα X-rays. Structure: a GGA-PBE-relaxed structure.
Peak positions follow from Bragg's law for the DFT cell and can differ from measured ones.

The 10 most intense peaks (10° ≤ 2θ ≤ 80°), low angle first:
hkl 1 0 -1, 2θ 21.98, d 4.044, I 938; hkl 0 1 0, 2θ 24.22, d 3.675, I 370; hkl 0 1 1, 2θ 31.55, d 2.836, I 406; hkl 1 1 -1, 2θ 32.93, d 2.720, I 1000; hkl 1 0 1, 2θ 35.50, d 2.529, I 422; hkl 0 0 2, 2θ 40.46, d 2.230, I 377; hkl 1 1 1, 2θ 43.44, d 2.083, I 293; hkl 0 2 0, 2θ 49.61, d 1.838, I 224; hkl 2 1 0, 2θ 50.65, d 1.802, I 419; hkl 2 1 -2, 2θ 51.59, d 1.772, I 365

Cell and atoms:
```
data_InFeP2
_cell_length_a 4.603
_cell_length_b 3.675
_cell_length_c 4.963
_cell_angle_alpha 90.00
_cell_angle_beta 116.04
_cell_angle_gamma 90.00
_symmetry_space_group_name_H-M 'P 1 2/m 1'
_symmetry_Int_Tables_number 10
loop_
_symmetry_equiv_pos_as_xyz
'x,y,z'
'-x,-y,-z'
'-x,y,-z'
'x,-y,z'
loop_
_atom_site_label
_atom_site_fract_x
_atom_site_fract_y
_atom_site_fract_z
In1 0.000 0.000 0.000
Fe1 0.500 0.000 0.500
P1 0.255 0.500 0.550
```

=====

This entry pairs a crystal structure of Ti5In2Fe2Pd with its simulated X-ray powder pattern. Radiation: Cu Kα X-rays. Structure: a GGA-PBE-relaxed structure.
Peak positions follow from Bragg's law for the DFT cell and can differ from measured ones.

The 10 most intense peaks (10° ≤ 2θ ≤ 80°), low angle first:
hkl 3 1 0, 2θ 27.05, d 3.296, I 303; hkl 2 1 1, 2θ 35.10, d 2.556, I 178; hkl 4 1 0, 2θ 35.51, d 2.528, I 468; hkl 3 3 0, 2θ 36.57, d 2.457, I 174; hkl 2 2 1, 2θ 38.25, d 2.353, I 235; hkl 4 2 0, 2θ 38.63, d 2.331, I 243; hkl 3 1 1, 2θ 40.23, d 2.242, I 1000; hkl 3 2 1, 2θ 43.06, d 2.101, I 212; hkl 6 0 1, 2θ 61.38, d 1.510, I 140; hkl 3 3 2, 2θ 72.93, d 1.297, I 119

Cell and atoms:
```
data_Ti5In2Fe2Pd
_cell_length_a 10.424
_cell_length_b 10.424
_cell_length_c 3.057
_cell_angle_alpha 90.00
_cell_angle_beta 90.00
_cell_angle_gamma 90.00
_symmetry_space_group_name_H-M 'P 4/m b m'
_symmetry_Int_Tables_number 127
_symmetry_space_group_name_Hall '-P 4 2ab'
loop_
_atom_site_label
_atom_site_fract_x
_atom_site_fract_y
_atom_site_fract_z
Ti1 0.000 0.500 0.000
Ti2 0.069 0.206 0.000
In1 0.174 0.674 0.500
Fe1 0.130 0.370 0.500
Pd1 0.000 0.000 0.500
```

=====

This entry pairs a crystal structure of Pm3InFe with its simulated X-ray powder pattern. Radiation: Cu Kα X-rays. Structure: a GGA-PBE-relaxed structure.
Peak positions follow from Bragg's law for the DFT cell and can differ from measured ones.

The 10 most intense peaks (10° ≤ 2θ ≤ 80°), low angle first:
hkl 1 0 0, 2θ 17.00, d 5.217, I 96; hkl 1 1 1, 2θ 29.66, d 3.012, I 1000; hkl 2 0 0, 2θ 34.38, d 2.608, I 779; hkl 2 1 0, 2θ 38.59, d 2.333, I 47; hkl 2 2 0, 2θ 49.41, d 1.844, I 553; hkl 3 0 0, 2θ 52.63, d 1.739, I 24; hkl 3 1 1, 2θ 58.70, d 1.573, I 438; hkl 2 2 2, 2θ 61.58, d 1.506, I 188; hkl 4 0 0, 2θ 72.47, d 1.304, I 87; hkl 4 1 0, 2θ 75.08, d 1.265, I 13

Cell and atoms:
```
data_Pm3InFe
_cell_length_a 5.217
_cell_length_b 5.217
_cell_length_c 5.217
_cell_angle_alpha 90.00
_cell_angle_beta 90.00
_cell_angle_gamma 90.00
_symmetry_space_group_name_H-M 'P m -3 m'
_symmetry_Int_Tables_number 221
_symmetry_space_group_name_Hall '-P 4 2 3'
loop_
_atom_site_label
_atom_site_fract_x
_atom_site_fract_y
_atom_site_fract_z
Pm1 0.000 0.000 0.500
In1 0.500 0.500 0.500
Fe1 0.000 0.000 0.000
```

=====

This entry pairs a crystal structure of InFe2Pt8 with its simulated X-ray powder pattern. Radiation: Cu Kα X-rays. Structure: a GGA-PBE-relaxed structure.
Peak positions follow from Bragg's law for the DFT cell and can differ from measured ones.

The 10 most intense peaks (10° ≤ 2θ ≤ 80°), low angle first:
hkl 5 1 -1, 2θ 39.38, d 2.288, I 1000; hkl 4 0 -3, 2θ 45.40, d 1.998, I 169; hkl 0 2 0, 2θ 45.70, d 1.985, I 169; hkl 6 0 1, 2θ 46.27, d 1.962, I 149; hkl 4 2 -3, 2θ 66.39, d 1.408, I 109; hkl 2 0 4, 2θ 66.73, d 1.402, I 47; hkl 10 0 -2, 2θ 66.94, d 1.398, I 50; hkl 6 2 1, 2θ 67.07, d 1.395, I 98; hkl 3 1 -5, 2θ 79.72, d 1.203, I 61; hkl 9 1 -4, 2θ 79.87, d 1.201, I 64

Cell and atoms:
```
data_InFe2Pt8
_cell_length_a 14.209
_cell_length_b 3.970
_cell_length_c 6.311
_cell_angle_alpha 90.00
_cell_angle_beta 105.95
_cell_angle_gamma 90.00
_symmetry_space_group_name_H-M 'C 1 2/m 1'
_symmetry_Int_Tables_number 12
loop_
_symmetry_equiv_pos_as_xyz
'x,y,z'
'-x,-y,-z'
'-x,y,-z'
'x,-y,z'
'x+1/2,y+1/2,z'
'-x+1/2,-y+1/2,-z'
'-x+1/2,y+1/2,-z'
'x+1/2,-y+1/2,z'
loop_
_atom_site_label
_atom_site_fract_x
_atom_site_fract_y
_atom_site_fract_z
In1 0.000 0.000 0.000
Fe1 0.226 0.500 0.647
Pt1 0.048 0.500 0.722
Pt2 0.100 0.000 0.463
Pt3 0.146 0.500 0.206
Pt4 0.184 0.000 0.916
```

=====

This entry pairs a crystal structure of InFe4Sb12 with its simulated X-ray powder pattern. Radiation: Cu Kα X-rays. Structure: a GGA-PBE-relaxed structure.
Peak positions follow from Bragg's law for the DFT cell and can differ from measured ones.

The 10 most intense peaks (10° ≤ 2θ ≤ 80°), low angle first:
hkl 3 0 1, 2θ 30.65, d 2.917, I 1000; hkl 3 1 2, 2θ 36.45, d 2.465, I 485; hkl 4 2 0, 2θ 43.90, d 2.062, I 133; hkl 4 2 2, 2θ 48.35, d 1.883, I 209; hkl 4 3 1, 2θ 50.45, d 1.809, I 220; hkl 5 3 0, 2θ 58.34, d 1.582, I 179; hkl 6 0 0, 2θ 60.20, d 1.537, I 113; hkl 5 2 3, 2θ 62.03, d 1.496, I 76; hkl 6 1 3, 2θ 69.07, d 1.360, I 183; hkl 7 3 0, 2θ 79.07, d 1.211, I 72

Cell and atoms:
```
data_InFe4Sb12
_cell_length_a 9.223
_cell_length_b 9.223
_cell_length_c 9.223
_cell_angle_alpha 90.00
_cell_angle_beta 90.00
_cell_angle_gamma 90.00
_symmetry_space_group_name_H-M 'I m -3'
_symmetry_Int_Tables_number 204
_symmetry_space_group_name_Hall '-I 2 2 3'
loop_
_atom_site_label
_atom_site_fract_x
_atom_site_fract_y
_atom_site_fract_z
In1 0.000 0.000 0.000
Fe1 0.250 0.250 0.250
Sb1 0.000 0.334 0.161
```

=====

- What is the formula in the sixth record?
  Pm3InFe